Structure and theoretical powder XRD pattern of Th6Al3Sn (a structure optimized by DFT (PBE); CuKα).
Intensities are scaled so that the largest is 100.

Largest 10 diffraction maxima, sorted by position, 2θ from 10° to 90°:
d_spacing	I (rel.)
6.864	50
4.249	85
4.181	100
3.613	35
2.910	48
2.753	66
2.688	37
2.670	36
2.401	39
2.288	44

Atomic structure:
```
data_Th6Al3Sn
_chemical_formula_sum 'Th6 Al3 Sn1'
_cell_length_a 8.366
_cell_length_b 8.366
_cell_length_c 8.366
_cell_angle_alpha 118.95
_cell_angle_beta 118.95
_cell_angle_gamma 91.83
_space_group_name_H-M_alt 'P 1'
_space_group_IT_number 1
loop_
_space_group_symop_operation_xyz
'x,y,z'
loop_
_atom_site_label
_atom_site_fract_x
_atom_site_fract_y
_atom_site_fract_z
Th1 0.161 0.500 0.661
Th2 0.245 0.245 0.000
Th3 0.500 0.161 0.661
Th4 0.500 0.839 0.339
Th5 0.755 0.755 0.000
Th6 0.839 0.500 0.339
Al1 0.000 0.000 0.000
Al2 0.250 0.750 0.500
Al3 0.750 0.250 0.500
Sn1 0.500 0.500 0.000
```

***

Structure and theoretical powder XRD pattern of Al2Zn2Sn3 (a structure optimized by DFT (PBE); CuKα).
Intensities are scaled so that the largest is 100.

Largest 10 diffraction maxima, sorted by position, 2θ from 10° to 90°:
d_spacing	I (rel.)
4.119	19
3.955	23
3.451	23
3.178	25
2.469	96
2.413	100
1.725	33
1.437	13
1.403	33
1.393	18

Atomic structure:
```
data_Al2Zn2Sn3
_chemical_formula_sum 'Al2 Zn2 Sn3'
_cell_length_a 8.622
_cell_length_b 8.622
_cell_length_c 8.622
_cell_angle_alpha 32.50
_cell_angle_beta 32.50
_cell_angle_gamma 32.50
_space_group_name_H-M_alt 'P 1'
_space_group_IT_number 1
loop_
_space_group_symop_operation_xyz
'x,y,z'
loop_
_atom_site_label
_atom_site_fract_x
_atom_site_fract_y
_atom_site_fract_z
Al1 0.000 0.000 0.000
Al2 0.493 0.493 0.493
Zn1 0.231 0.231 0.231
Zn2 0.752 0.752 0.752
Sn1 0.376 0.376 0.376
Sn2 0.621 0.621 0.621
Sn3 0.866 0.866 0.866
```

***

Structure and theoretical powder XRD pattern of Al2Zn2Sn (a structure optimized by DFT (PBE); CuKα).
Intensities are scaled so that the largest is 100.

Largest 10 diffraction maxima, sorted by position, 2θ from 10° to 90°:
d_spacing	I (rel.)
5.837	40
2.850	67
2.799	93
2.561	100
2.020	78
2.015	57
1.635	37
1.426	68
1.245	21
1.182	13

Atomic structure:
```
data_Al2Zn2Sn
_chemical_formula_sum 'Al2 Zn2 Sn1'
_cell_length_a 6.495
_cell_length_b 6.495
_cell_length_c 6.495
_cell_angle_alpha 143.86
_cell_angle_beta 143.86
_cell_angle_gamma 52.04
_space_group_name_H-M_alt 'P 1'
_space_group_IT_number 1
loop_
_space_group_symop_operation_xyz
'x,y,z'
loop_
_atom_site_label
_atom_site_fract_x
_atom_site_fract_y
_atom_site_fract_z
Al1 0.250 0.750 0.500
Al2 0.750 0.250 0.500
Zn1 0.105 0.105 0.000
Zn2 0.895 0.895 0.000
Sn1 0.500 0.500 0.000
```

***

Structure and theoretical powder XRD pattern of SrAl3Tc (a structure optimized by DFT (PBE); CuKα).
Intensities are scaled so that the largest is 100.

Largest 10 diffraction maxima, sorted by position, 2θ from 10° to 90°:
d_spacing	I (rel.)
3.977	15
3.427	100
3.375	60
2.783	20
2.386	65
2.312	25
1.958	41
1.908	28
1.713	18
1.687	22

Atomic structure:
```
data_SrAl3Tc
_chemical_formula_sum 'Sr2 Al6 Tc2'
_cell_length_a 6.749
_cell_length_b 6.749
_cell_length_c 4.923
_cell_angle_alpha 90.00
_cell_angle_beta 90.00
_cell_angle_gamma 90.00
_space_group_name_H-M_alt 'P 1'
_space_group_IT_number 1
loop_
_space_group_symop_operation_xyz
'x,y,z'
loop_
_atom_site_label
_atom_site_fract_x
_atom_site_fract_y
_atom_site_fract_z
Sr1 0.250 0.750 0.000
Sr2 0.750 0.250 0.000
Al1 0.000 0.000 0.500
Al2 0.000 0.500 0.500
Al3 0.250 0.250 0.105
Al4 0.500 0.000 0.500
Al5 0.500 0.500 0.500
Al6 0.750 0.750 0.895
Tc1 0.250 0.250 0.609
Tc2 0.750 0.750 0.391
```